1.
Diffraction record for Pr3NO. The X-ray powder pattern is computed, not measured: it uses a cell relaxed with PBE and copper Kα.

Structural model:
Lattice parameters (Å, degrees): 7.516 7.516 7.516 90.00 90.00 90.00
Space group P2_13 (No. 198)
Symmetry-distinct sites (fractional):
Pr: 0.001 0.257 0.374
N: 0.072 0.072 0.072
O: 0.164 0.664 0.836

Top 10 peaks for 2θ from 5° to 70°, in order of rising 2θ:
Position (°2θ)  Rel. int.  index
29.10  100  2 1 1
33.73  11  2 2 0
37.85  42  3 0 1
45.14  25  3 1 2
48.44  2  4 0 0
54.61  25  4 2 0
57.51  16  3 3 2
60.33  5  4 2 2
63.07  23  4 1 3
68.36  6  5 1 2

***

2.
Diffraction record for PuAl2Pt3. The X-ray powder pattern is computed, not measured: it uses a cell relaxed with PBE and copper Kα.

Structural model:
Lattice parameters (Å, degrees): 10.076 7.951 5.473 90.00 90.00 90.00
Space group Cmcm (No. 63)
Symmetry-distinct sites (fractional):
Pu: 0.000 0.162 0.250
Al: 0.215 0.500 0.000
Pt: 0.000 0.480 0.750
Pt: 0.157 0.200 0.750

Top 10 peaks for 2θ from 5° to 70°, in order of rising 2θ:
Position (°2θ)  Rel. int.  index
17.60  20  2 0 0
32.72  52  0 0 2
33.04  42  2 2 1
33.26  100  3 1 1
35.01  54  1 3 0
45.75  25  4 2 1
48.68  45  1 3 2
54.65  19  6 0 0
58.75  21  3 1 3
67.68  17  5 3 2